(1)
In2Te5Pb2: computed PXRD pattern (Cu Kα, 1.54184 Å), based on DFT lattice parameters and positions (PBE).
Intensities are scaled so that the largest is 1000.

Structural model:
```
data_In2Te5Pb2
_symmetry_space_group_name_H-M 'C 1 2/m 1'
_symmetry_Int_Tables_number 12
_cell_length_a 16.266
_cell_length_b 4.588
_cell_length_c 11.476
_cell_angle_alpha 90.00
_cell_angle_beta 121.59
_cell_angle_gamma 90.00
loop_
_symmetry_equiv_pos_as_xyz
'x,y,z'
'-x,-y,-z'
'-x,y,-z'
'x,-y,z'
'x+1/2,y+1/2,z'
'-x+1/2,-y+1/2,-z'
'-x+1/2,y+1/2,-z'
'x+1/2,-y+1/2,z'
loop_
_atom_site_label
_atom_site_type_symbol
_atom_site_fract_x
_atom_site_fract_y
_atom_site_fract_z
_atom_site_occupancy
In1 In 0.205 0.000 0.091 1
Te1 Te 0.000 0.000 0.500 1
Te2 Te 0.117 0.500 0.909 1
Te3 Te 0.193 0.000 0.321 1
Pb1 Pb 0.095 0.500 0.420 1
```

Principal peaks in the range 10 to 90 degrees two-theta, low angle first:
4.888 Å, 2θ 18.15, intensity 275, (0 0 2)
4.624 Å, 2θ 19.20, intensity 537, (2 0 1)
4.247 Å, 2θ 20.92, intensity 312, (1 1 -1)
3.336 Å, 2θ 26.72, intensity 851, (3 1 -2)
3.268 Å, 2θ 27.29, intensity 446, (2 0 2)
3.014 Å, 2θ 29.64, intensity 312, (1 1 2)
2.899 Å, 2θ 30.84, intensity 439, (3 1 -3)
2.431 Å, 2θ 36.98, intensity 424, (6 0 -4)
2.372 Å, 2θ 37.93, intensity 852, (5 1 0)
2.297 Å, 2θ 39.22, intensity 1000, (0 2 0)


(2)
Ti5Mo: computed PXRD pattern (Cu Kα, 1.54184 Å), based on DFT lattice parameters and positions (PBE).
Intensities are scaled so that the largest is 1000.

Structural model:
```
data_Ti5Mo
_symmetry_space_group_name_H-M 'P -1'
_symmetry_Int_Tables_number 2
_cell_length_a 2.865
_cell_length_b 5.431
_cell_length_c 6.938
_cell_angle_alpha 77.18
_cell_angle_beta 78.78
_cell_angle_gamma 75.97
loop_
_symmetry_equiv_pos_as_xyz
'x,y,z'
'-x,-y,-z'
loop_
_atom_site_label
_atom_site_type_symbol
_atom_site_fract_x
_atom_site_fract_y
_atom_site_fract_z
_atom_site_occupancy
Ti1 Ti 0.000 0.000 0.000 1
Ti2 Ti 0.220 0.186 0.330 1
Ti3 Ti 0.461 0.334 0.678 1
Mo1 Mo 0.500 0.500 0.000 1
```

Principal peaks in the range 10 to 90 degrees two-theta, low angle first:
6.690 Å, 2θ 13.24, intensity 441, (0 0 1)
5.180 Å, 2θ 17.12, intensity 281, (0 1 0)
2.749 Å, 2θ 32.57, intensity 247, (1 0 0)
2.383 Å, 2θ 37.76, intensity 863, (1 1 2)
2.297 Å, 2θ 39.21, intensity 871, (1 1 -1)
2.278 Å, 2θ 39.55, intensity 1000, (0 2 -1)
2.258 Å, 2θ 39.92, intensity 974, (0 2 2)
2.242 Å, 2θ 40.22, intensity 801, (1 -1 0)
2.230 Å, 2θ 40.45, intensity 940, (0 0 3)
1.680 Å, 2θ 54.63, intensity 257, (1 3 1)